Li4Mn3Nb3Sn2O16: computed XRD peak list (Cu Kα (λ = 1.5418 Å)), based on a cell relaxed with PBE+U.

Atomic structure:
```
Li4Mn3Nb3Sn2O16
1.0
5.490 -3.068 0.000
5.490 3.068 0.000
-0.267 0.000 10.068
Li Mn Nb Sn O
4 3 3 2 16
Direct
0.000 0.000 0.000
0.002 0.002 0.513
0.334 0.334 0.425
0.660 0.660 0.909
0.175 0.664 0.727
0.664 0.175 0.727
0.838 0.838 0.231
0.175 0.175 0.733
0.346 0.838 0.230
0.838 0.346 0.230
0.345 0.345 0.999
0.680 0.680 0.516
0.011 0.011 0.329
0.016 0.016 0.820
0.034 0.468 0.865
0.175 0.175 0.121
0.187 0.681 0.117
0.318 0.318 0.619
0.343 0.852 0.614
0.468 0.034 0.865
0.482 0.482 0.866
0.506 0.961 0.356
0.524 0.524 0.357
0.665 0.665 0.116
0.681 0.187 0.117
0.847 0.847 0.601
0.852 0.343 0.614
0.961 0.506 0.356
```

Principal peaks in the range 10 to 90 degrees two-theta, low angle first:
- 17.62 deg, I = 46
- 18.20 deg, I = 61
- 18.66 deg, I = 100
- 18.87 deg, I = 55
- 31.64 deg, I = 50
- 58.77 deg, I = 44